# 1
The following is a computed powder diffraction line list of CdCu2SiTe4. It was derived from a DFT-relaxed cell (PBE, the Materials Project), using CuKα.
Neutral-atom scattering factors, no anomalous dispersion.

The 6 most intense peaks (2θ = 10–80°), sorted by position:
2θ (°)	d/Å	I/Imax
25.21	3.532	1000
41.40	2.181	235
41.94	2.154	453
49.09	1.856	293
50.03	1.823	139
75.87	1.254	129

Structural model:
abc: 7.4345 7.4345 7.4345
angles: 130.98 130.98 71.85
Fractional positions:
Cd1 0.0000 0.0000 0.0000
Cu1 0.2500 0.7500 0.5000
Cu2 0.7500 0.2500 0.5000
Si1 0.5000 0.5000 0.0000
Te1 0.1352 0.1352 0.5392
Te2 0.4040 0.8648 0.0000
Te3 0.5960 0.5960 0.4608
Te4 0.8648 0.4040 0.0000

# 2
The following is a computed powder diffraction line list of SmCdCu. It was derived from a DFT-relaxed cell (PBE, the Materials Project), using CuKα.
Neutral-atom scattering factors, no anomalous dispersion.

The 6 most intense peaks (2θ = 10–80°), sorted by position:
2θ (°)	d/Å	I/Imax
32.53	2.752	1000
35.32	2.541	820
35.88	2.503	581
55.11	1.666	245
59.48	1.554	260
65.84	1.419	253

Structural model:
abc: 7.6459 7.6459 3.9650
angles: 90.00 90.00 120.00
Fractional positions:
Sm1 0.0000 0.5868 0.0000
Sm2 0.4132 0.4132 0.0000
Sm3 0.5868 0.0000 0.0000
Cd1 0.0000 0.2489 0.5000
Cd2 0.2489 0.0000 0.5000
Cd3 0.7511 0.7511 0.5000
Cu1 0.0000 0.0000 0.0000
Cu2 0.3333 0.6667 0.5000
Cu3 0.6667 0.3333 0.5000

# 3
The following is a computed powder diffraction line list of Sm2CdCu2. It was derived from a DFT-relaxed cell (PBE, the Materials Project), using CuKα.
Neutral-atom scattering factors, no anomalous dispersion.

The 6 most intense peaks (2θ = 10–80°), sorted by position:
2θ (°)	d/Å	I/Imax
33.37	2.685	643
35.37	2.537	1000
36.67	2.451	449
54.69	1.678	191
56.07	1.640	223
66.43	1.407	197

Structural model:
abc: 7.7505 7.7505 3.7249
angles: 90.00 90.00 90.00
Fractional positions:
Sm1 0.1786 0.3214 0.0000
Sm2 0.3214 0.8214 0.0000
Sm3 0.6786 0.1786 0.0000
Sm4 0.8214 0.6786 0.0000
Cd1 0.0000 0.0000 0.5000
Cd2 0.5000 0.5000 0.5000
Cu1 0.1162 0.6162 0.5000
Cu2 0.3838 0.1162 0.5000
Cu3 0.6162 0.8838 0.5000
Cu4 0.8838 0.3838 0.5000

# 4
The following is a computed powder diffraction line list of Tb2CdCu2. It was derived from a DFT-relaxed cell (PBE, the Materials Project), using CuKα.
Neutral-atom scattering factors, no anomalous dispersion.

The 6 most intense peaks (2θ = 10–80°), sorted by position:
2θ (°)	d/Å	I/Imax
26.02	3.424	198
33.93	2.642	598
35.96	2.497	1000
37.13	2.421	446
55.52	1.655	185
56.92	1.618	181

Structural model:
abc: 7.6565 7.6565 3.6507
angles: 90.00 90.00 90.00
Fractional positions:
Tb1 0.1769 0.3231 0.0000
Tb2 0.3231 0.8231 0.0000
Tb3 0.6769 0.1769 0.0000
Tb4 0.8231 0.6769 0.0000
Cd1 0.0000 0.0000 0.5000
Cd2 0.5000 0.5000 0.5000
Cu1 0.1168 0.6168 0.5000
Cu2 0.3832 0.1168 0.5000
Cu3 0.6168 0.8832 0.5000
Cu4 0.8832 0.3832 0.5000

# 5
The following is a computed powder diffraction line list of ThCdCu2. It was derived from a DFT-relaxed cell (PBE, the Materials Project), using CuKα.
Neutral-atom scattering factors, no anomalous dispersion.

The 6 most intense peaks (2θ = 10–80°), sorted by position:
2θ (°)	d/Å	I/Imax
22.60	3.934	117
26.16	3.407	216
37.33	2.409	1000
53.82	1.703	171
67.33	1.391	343
79.60	1.204	107

Structural model:
abc: 4.8176 4.8176 4.8176
angles: 60.00 60.00 60.00
Fractional positions:
Th1 0.0000 0.0000 0.0000
Cd1 0.5000 0.5000 0.5000
Cu1 0.2500 0.2500 0.2500
Cu2 0.7500 0.7500 0.7500

# 6
The following is a computed powder diffraction line list of DyCd3. It was derived from a DFT-relaxed cell (PBE, the Materials Project), using CuKα.
Neutral-atom scattering factors, no anomalous dispersion.

The 6 most intense peaks (2θ = 10–80°), sorted by position:
2θ (°)	d/Å	I/Imax
32.79	2.732	192
33.10	2.706	153
35.08	2.558	1000
36.74	2.446	284
37.72	2.385	192
65.07	1.433	207

Structural model:
abc: 6.5381 6.5381 4.8929
angles: 90.00 90.00 113.35
Fractional positions:
Dy1 0.1344 0.8656 0.7500
Dy2 0.8656 0.1344 0.2500
Cd1 0.1897 0.3799 0.7500
Cd2 0.3238 0.6762 0.2500
Cd3 0.3799 0.1897 0.2500
Cd4 0.6201 0.8103 0.7500
Cd5 0.6762 0.3238 0.7500
Cd6 0.8103 0.6201 0.2500

# 7
The following is a computed powder diffraction line list of DyErCd2. It was derived from a DFT-relaxed cell (PBE, the Materials Project), using CuKα.
Neutral-atom scattering factors, no anomalous dispersion.

The 6 most intense peaks (2θ = 10–80°), sorted by position:
2θ (°)	d/Å	I/Imax
23.78	3.742	35
33.88	2.646	1000
48.67	1.871	179
54.86	1.673	17
60.62	1.528	366
71.28	1.323	112

Structural model:
abc: 5.2919 5.2919 5.2919
angles: 60.00 60.00 60.00
Fractional positions:
Dy1 0.0000 0.0000 0.0000
Er1 0.5000 0.5000 0.5000
Cd1 0.2500 0.2500 0.2500
Cd2 0.7500 0.7500 0.7500